Structure and calculated powder diffractogram of Li3Ga2Cu2Au4 (a DFT-relaxed cell (GGA-PBE, Alexandria); a wavelength of 1.5418 Å).
No peak broadening, texture or thermal motion is included.

Top 10 peaks for 2θ from 15° to 90°, most intense first:
2θ (°), Rel. int., (hkl)
41.88, 100, 1 0 4
40.72, 82, 1 1 0
23.18, 80, 1 0 0
28.88, 53, 0 1 2
74.91, 36, 2 1 4
59.84, 35, 0 2 4
74.12, 14, 3 0 0
17.00, 14, 0 0 2
47.37, 12, 2 0 0
50.69, 12, 2 0 2

Crystal structure
a = 4.4316 Å, b = 4.4316 Å, c = 10.4305 Å
α = 90.00°, β = 90.00°, γ = 120.00°
Space group P-3m1 (No. 164)
Unique sites:
Li: 0.0000 0.0000 0.0000
Li: 0.0000 0.0000 0.3438
Ga: 0.3333 0.6667 0.1773
Cu: 0.3333 0.6667 0.6746
Au: 0.3333 0.6667 0.4250
Au: 0.3333 0.6667 0.9185